# Ca3CoSe4O12
Theoretical X-ray powder pattern, CuKα. Input: a crystal structure in Alexandria, relaxed with GGA+U.

Principal peaks in the range 5 to 70 degrees two-theta, in order of rising 2θ:
| d [Å] | I_rel | h k l |
| --- | --- | --- |
| 3.940 | 1000 | 1 1 4 |
| 3.410 | 396 | 1 2 1 |
| 3.140 | 218 | 2 1 3 |
| 3.119 | 182 | 1 1 6 |
| 2.726 | 116 | 2 2 0 |
| 2.435 | 167 | 3 0 3 |
| 2.384 | 107 | 1 3 2 |
| 2.293 | 103 | 2 0 8 |
| 2.239 | 181 | 3 0 5 |
| 2.042 | 115 | 1 2 9 |
| 1.864 | 92 | 4 1 1 |
| 1.640 | 116 | 3 3 6 |

Crystal structure
```
data_Ca3CoSe4O12
_chemical_formula_sum 'Ca12 Co4 Se16 O48'
_space_group_name_H-M_alt 'I 41/a'
_space_group_IT_number 88
_cell_length_a 7.711
_cell_length_b 7.711
_cell_length_c 22.811
_cell_angle_alpha 90.00
_cell_angle_beta 90.00
_cell_angle_gamma 90.00
loop_
_space_group_symop_operation_xyz
'x,y,z'
'-x,-y,-z'
'-y+3/4,x+1/4,z+1/4'
'y+3/4,-x+1/4,-z+1/4'
'-x+1/2,-y,z+1/2'
'x+1/2,y,-z+1/2'
'y+3/4,-x+3/4,z+3/4'
'-y+3/4,x+3/4,-z+3/4'
'x+1/2,y+1/2,z+1/2'
'-x+1/2,-y+1/2,-z+1/2'
'-y+1/4,x+3/4,z+3/4'
'y+1/4,-x+3/4,-z+3/4'
'-x,-y+1/2,z'
'x,y+1/2,-z'
'y+1/4,-x+1/4,z+1/4'
'-y+1/4,x+1/4,-z+1/4'
loop_
_atom_site_label
_atom_site_type_symbol
_atom_site_fract_x
_atom_site_fract_y
_atom_site_fract_z
_atom_site_occupancy
Ca1 Ca 0.000 0.250 0.125 1
Ca2 Ca 0.000 0.250 0.301 1
Co1 Co 0.000 0.250 0.625 1
Se1 Se 0.169 0.429 0.441 1
O1 O 0.080 0.053 0.875 1
O2 O 0.099 0.439 0.674 1
O3 O 0.128 0.105 0.030 1
```